[1]
Structure and theoretical XRD peak list of Mg4Si7 (a cell relaxed with PBE; Cu Kα, 1.54184 Å).

Peak list (10 most intense, 10° ≤ 2θ ≤ 90°, in order of rising 2θ)
2θ/deg, I (rel.)
31.5, 32
33.8, 30
34.1, 34
35.5, 53
37.7, 30
37.9, 28
39.5, 46
39.7, 48
40.8, 33
44.5, 100

Atomic structure:
```
Mg4Si7
1.0
4.0694 0.0000 0.0000
-0.0226 7.9629 0.0000
-1.9425 -2.7898 12.1456
Mg Si
8 14
Direct
0.0000 0.0000 0.0000
0.0240 0.4707 0.0437
0.1055 0.8608 0.2044
0.1764 0.5585 0.3423
0.5892 0.2445 0.1737
0.7232 0.3390 0.4438
0.8696 0.5584 0.7340
0.9034 0.2392 0.8059
0.1483 0.2025 0.3007
0.2258 0.0258 0.4360
0.2987 0.5742 0.5685
0.3188 0.3156 0.6451
0.3271 0.9727 0.6459
0.4130 0.7961 0.8425
0.4383 0.4972 0.8822
0.4723 0.2179 0.9513
0.5160 0.7665 0.0420
0.6127 0.6194 0.2063
0.7052 0.8331 0.3826
0.7951 0.1205 0.5778
0.8070 0.7479 0.5634
0.8797 0.9005 0.7626
```

[2]
Structure and theoretical XRD peak list of Mg2Si3 (a cell relaxed with PBE; Cu Kα, 1.54184 Å).

Peak list (10 most intense, 10° ≤ 2θ ≤ 90°, in order of rising 2θ)
2θ/deg, I (rel.)
34.4, 79
35.3, 25
35.6, 29
39.8, 38
40.1, 29
40.5, 100
44.6, 22
47.6, 16
51.0, 40
66.6, 17

Atomic structure:
```
Mg2Si3
1.0
5.7191 -1.7905 0.0000
5.7191 1.7905 0.0000
-0.5715 0.0000 17.8044
Mg Si
8 12
Direct
0.0210 0.0210 0.3015
0.1820 0.1820 0.0554
0.3298 0.3298 0.2039
0.3408 0.3408 0.5515
0.6592 0.6592 0.4485
0.6702 0.6702 0.7961
0.8180 0.8180 0.9446
0.9790 0.9790 0.6985
0.0142 0.0142 0.8576
0.0730 0.0730 0.5516
0.2836 0.2836 0.6948
0.3468 0.3468 0.3593
0.3663 0.3663 0.8229
0.4267 0.4267 0.0499
0.5733 0.5733 0.9501
0.6337 0.6337 0.1771
0.6532 0.6532 0.6407
0.7164 0.7164 0.3052
0.9270 0.9270 0.4484
0.9858 0.9858 0.1424
```

[3]
Structure and theoretical XRD peak list of Mg3Si4 (a cell relaxed with PBE; Cu Kα, 1.54184 Å).

Peak list (10 most intense, 10° ≤ 2θ ≤ 90°, in order of rising 2θ)
2θ/deg, I (rel.)
34.6, 78
35.4, 84
35.8, 31
36.7, 28
37.0, 37
37.2, 100
37.6, 37
44.9, 31
45.2, 22
45.9, 23

Atomic structure:
```
Mg3Si4
1.0
5.6677 0.0000 0.0000
-2.1565 7.1051 0.0000
-1.3146 -3.6805 6.4800
Mg Si
6 8
Direct
0.0000 0.0000 0.0000
0.0658 0.6533 0.4709
0.1586 0.2271 0.5099
0.4256 0.4356 0.2685
0.5504 0.1803 0.8576
0.6779 0.7137 0.1194
0.1163 0.2951 0.8781
0.1450 0.6688 0.0976
0.3201 0.7970 0.8869
0.4888 0.0261 0.4252
0.5639 0.6474 0.6778
0.7051 0.1740 0.2439
0.7776 0.8979 0.5662
0.8395 0.4401 0.7067
```

[4]
Structure and theoretical XRD peak list of Mg4Si3 (a cell relaxed with PBE; Cu Kα, 1.54184 Å).

Peak list (10 most intense, 10° ≤ 2θ ≤ 90°, in order of rising 2θ)
2θ/deg, I (rel.)
35.0, 67
35.6, 70
36.1, 47
36.7, 69
37.5, 100
38.9, 82
41.0, 70
41.4, 80
41.9, 90
42.2, 56

Atomic structure:
```
Mg4Si3
1.0
5.6032 0.0000 0.0000
2.7338 7.0264 0.0000
0.0090 3.6604 6.6962
Mg Si
8 6
Direct
0.0000 0.0000 0.0000
0.0132 0.4446 0.8325
0.0823 0.8617 0.6668
0.3567 0.2069 0.6282
0.3866 0.6655 0.3967
0.6000 0.7041 0.9816
0.6887 0.2205 0.2681
0.8787 0.6775 0.3640
0.1763 0.5610 0.1133
0.2159 0.1526 0.2739
0.4761 0.0579 0.0473
0.5373 0.4016 0.8261
0.5783 0.8588 0.5742
0.8215 0.2921 0.5990
```

[5]
Structure and theoretical XRD peak list of Mg4Si3 (a cell relaxed with PBE; Cu Kα, 1.54184 Å).

Peak list (10 most intense, 10° ≤ 2θ ≤ 90°, in order of rising 2θ)
2θ/deg, I (rel.)
23.3, 34
24.3, 27
30.1, 28
31.4, 47
36.4, 54
37.5, 52
41.6, 100
43.0, 27
43.3, 57
46.4, 34

Atomic structure:
```
Mg4Si3
1.0
6.1081 0.0000 0.0000
1.5521 6.1261 0.0000
2.6884 1.9831 7.6664
Mg Si
8 6
Direct
0.1182 0.0949 0.2994
0.2770 0.5119 0.4520
0.2986 0.5535 0.8858
0.3175 0.1009 0.7981
0.6825 0.8991 0.2019
0.7014 0.4465 0.1142
0.7230 0.4881 0.5480
0.8818 0.9051 0.7006
0.0338 0.5470 0.2258
0.3238 0.7909 0.1039
0.3668 0.8632 0.5550
0.6332 0.1368 0.4450
0.6762 0.2091 0.8961
0.9662 0.4530 0.7742
```

[6]
Structure and theoretical XRD peak list of Mg3Si4 (a cell relaxed with PBE; Cu Kα, 1.54184 Å).

Peak list (10 most intense, 10° ≤ 2θ ≤ 90°, in order of rising 2θ)
2θ/deg, I (rel.)
30.8, 43
33.9, 52
34.1, 59
35.9, 58
37.2, 34
38.0, 46
38.3, 100
38.7, 50
39.4, 36
44.5, 72

Atomic structure:
```
Mg3Si4
1.0
4.7364 0.0000 0.0000
-0.7166 7.1074 0.0000
-0.2315 -2.5154 7.7497
Mg Si
6 8
Direct
0.0000 0.0000 0.0000
0.0042 0.9815 0.6172
0.0905 0.2857 0.3799
0.4922 0.6597 0.4111
0.5067 0.6762 0.0301
0.5991 0.3532 0.6371
0.0626 0.8671 0.2736
0.0658 0.3552 0.8631
0.1397 0.5764 0.6862
0.4818 0.1996 0.9017
0.5200 0.8544 0.7695
0.5748 0.2818 0.2055
0.5822 0.0205 0.3415
0.9663 0.5152 0.1563
```

[7]
Structure and theoretical XRD peak list of Mg3Si4 (a cell relaxed with PBE; Cu Kα, 1.54184 Å).

Peak list (10 most intense, 10° ≤ 2θ ≤ 90°, in order of rising 2θ)
2θ/deg, I (rel.)
31.6, 23
34.9, 30
36.3, 89
36.5, 100
37.1, 49
37.8, 65
38.0, 59
38.5, 76
40.0, 35
44.3, 50

Atomic structure:
```
Mg3Si4
1.0
5.9401 0.0000 0.0000
-1.7427 6.3500 0.0000
-1.2253 -2.4078 6.8710
Mg Si
6 8
Direct
0.0000 0.0000 0.0000
0.0098 0.4725 0.9446
0.2098 0.7031 0.6676
0.5294 0.3397 0.1580
0.6883 0.7076 0.5665
0.7532 0.1792 0.4856
0.0402 0.4145 0.3010
0.2307 0.8174 0.3115
0.2439 0.1940 0.7508
0.2977 0.2468 0.4460
0.4524 0.8828 0.0624
0.5654 0.5673 0.8839
0.6034 0.0845 0.8041
0.7926 0.7767 0.2299
```

[8]
Structure and theoretical XRD peak list of Mg2Si3 (a cell relaxed with PBE; Cu Kα, 1.54184 Å).

Peak list (10 most intense, 10° ≤ 2θ ≤ 90°, in order of rising 2θ)
2θ/deg, I (rel.)
35.0, 54
36.1, 46
36.4, 48
36.9, 28
37.3, 26
38.5, 36
39.6, 41
40.6, 100
40.8, 46
46.9, 68

Atomic structure:
```
Mg2Si3
1.0
4.8823 -1.9354 0.0000
4.8823 1.9354 0.0000
-3.4059 0.0000 19.5126
Mg Si
8 12
Direct
0.0000 0.0000 0.0000
0.0098 0.0098 0.5007
0.2523 0.2523 0.2622
0.2690 0.2690 0.9156
0.3556 0.3556 0.7721
0.4479 0.4479 0.6270
0.6837 0.6837 0.3951
0.9223 0.9223 0.1599
0.0519 0.0519 0.7419
0.1691 0.1691 0.6446
0.2294 0.2294 0.0955
0.2926 0.2926 0.4978
0.3985 0.3985 0.3981
0.5408 0.5408 0.2599
0.5514 0.5514 0.9103
0.6272 0.6272 0.1530
0.6621 0.6621 0.8107
0.7152 0.7152 0.5734
0.7327 0.7327 0.0149
0.9681 0.9681 0.3283
```

> Which formula does entry 7 have?

Mg3Si4

Please write out number 4 again, unchanged.
Structure and theoretical XRD peak list of Mg4Si3 (a cell relaxed with PBE; Cu Kα, 1.54184 Å).

Peak list (10 most intense, 10° ≤ 2θ ≤ 90°, in order of rising 2θ)
2θ/deg, I (rel.)
35.0, 67
35.6, 70
36.1, 47
36.7, 69
37.5, 100
38.9, 82
41.0, 70
41.4, 80
41.9, 90
42.2, 56

Atomic structure:
```
Mg4Si3
1.0
5.6032 0.0000 0.0000
2.7338 7.0264 0.0000
0.0090 3.6604 6.6962
Mg Si
8 6
Direct
0.0000 0.0000 0.0000
0.0132 0.4446 0.8325
0.0823 0.8617 0.6668
0.3567 0.2069 0.6282
0.3866 0.6655 0.3967
0.6000 0.7041 0.9816
0.6887 0.2205 0.2681
0.8787 0.6775 0.3640
0.1763 0.5610 0.1133
0.2159 0.1526 0.2739
0.4761 0.0579 0.0473
0.5373 0.4016 0.8261
0.5783 0.8588 0.5742
0.8215 0.2921 0.5990
```